For Li5IrN2, a DFT-relaxed cell (PBE, Alexandria) gives the calculated XRD peak list in this record (λ = 1.5418 Å (Cu Kα)).
Kinematic intensities with the Lorentz-polarization factor, no thermal factor.

Structure:
Lattice parameters (Å, degrees): 4.0072 4.0072 13.3022 90.00 90.00 120.00
Space group P6_3/mmc (No. 194)
Symmetry-distinct sites (fractional):
Li1 0.0000 0.0000 0.1357 x4
Li2 0.3333 0.6667 0.0433 x4
Li3 0.3333 0.6667 0.2500 x2
Ir1 0.3333 0.6667 0.7500 x2
N1 0.3333 0.6667 0.6042 x4

Largest 8 diffraction maxima, by angle, 15 to 90 degrees two-theta:
2θ 25.67, intensity 21; 2θ 26.54, intensity 100; 2θ 29.02, intensity 21; 2θ 32.77, intensity 40; 2θ 42.83, intensity 21; 2θ 45.26, intensity 23; 2θ 47.39, intensity 23; 2θ 55.10, intensity 16

=====

For Li15IrN6, a DFT-relaxed cell (PBE, Alexandria) gives the calculated XRD peak list in this record (λ = 1.5418 Å (Cu Kα)).
Kinematic intensities with the Lorentz-polarization factor, no thermal factor.

Structure:
Lattice parameters (Å, degrees): 8.161 8.161 8.161 90.00 90.00 90.00
Space group Im-3m (No. 229)
Symmetry-distinct sites (fractional):
Li1 0.000 0.000 0.500 x6
Li2 0.000 0.233 0.233 x24
Ir1 0.000 0.000 0.000 x2
N1 0.000 0.000 0.270 x12

Largest 8 diffraction maxima, by angle, 15 to 90 degrees two-theta:
2θ 15.35, intensity 100; 2θ 21.78, intensity 23; 2θ 26.76, intensity 25; 2θ 30.99, intensity 10; 2θ 34.76, intensity 28; 2θ 41.40, intensity 22; 2θ 47.26, intensity 17; 2θ 57.59, intensity 18

=====

For LiPa2IrN5, a DFT-relaxed cell (PBE, Alexandria) gives the calculated XRD peak list in this record (λ = 1.5418 Å (Cu Kα)).
Kinematic intensities with the Lorentz-polarization factor, no thermal factor.

Structure:
Lattice parameters (Å, degrees): 3.425 13.107 9.654 90.00 90.00 90.00
Space group Cmc2_1 (No. 36)
Symmetry-distinct sites (fractional):
Li1 0.000 0.211 0.000 x4
Pa1 0.000 0.113 0.689 x4
Pa2 0.000 0.149 0.297 x4
Ir1 0.000 0.467 0.465 x4
N1 0.000 0.056 0.064 x4
N2 0.000 0.281 0.684 x4
N3 0.000 0.326 0.354 x4
N4 0.000 0.370 0.014 x4
N5 0.000 0.482 0.774 x4

Largest 8 diffraction maxima, by angle, 15 to 90 degrees two-theta:
2θ 22.88, intensity 26; 2θ 30.96, intensity 62; 2θ 32.78, intensity 100; 2θ 33.04, intensity 49; 2θ 33.24, intensity 63; 2θ 39.02, intensity 30; 2θ 52.34, intensity 34; 2θ 64.37, intensity 29

=====

For Na2Li2IrO6, a DFT-relaxed cell (PBE, Alexandria) gives the calculated XRD peak list in this record (λ = 1.5418 Å (Cu Kα)).
Kinematic intensities with the Lorentz-polarization factor, no thermal factor.

Structure:
Lattice parameters (Å, degrees): 5.1214 5.1214 5.4039 90.00 90.00 120.00
Space group P-31m (No. 162)
Symmetry-distinct sites (fractional):
Na1 0.3333 0.6667 0.0000 x2
Li1 0.3333 0.6667 0.5000 x2
Ir1 0.0000 0.0000 0.5000 x1
O1 0.0000 0.3063 0.3007 x6

Largest 8 diffraction maxima, by angle, 15 to 90 degrees two-theta:
2θ 16.40, intensity 37; 2θ 20.02, intensity 60; 2θ 25.99, intensity 100; 2θ 35.04, intensity 21; 2θ 38.92, intensity 19; 2θ 44.14, intensity 23; 2θ 49.01, intensity 33; 2θ 57.57, intensity 21

=====

For LiNbIrO6, a DFT-relaxed cell (PBE, Alexandria) gives the calculated XRD peak list in this record (λ = 1.5418 Å (Cu Kα)).
Kinematic intensities with the Lorentz-polarization factor, no thermal factor.

Structure:
Lattice parameters (Å, degrees): 4.793 4.793 9.112 90.00 90.00 90.00
Space group P4_2nm (No. 102)
Symmetry-distinct sites (fractional):
Li1 0.000 0.000 0.000 x2
Nb1 0.000 0.000 0.670 x2
Ir1 0.000 0.000 0.327 x2
O1 0.184 0.184 0.491 x4
O2 0.205 0.205 0.181 x4
O3 0.216 0.216 0.816 x4

Largest 8 diffraction maxima, by angle, 15 to 90 degrees two-theta:
2θ 19.48, intensity 37; 2θ 20.94, intensity 99; 2θ 26.30, intensity 100; 2θ 32.94, intensity 35; 2θ 34.97, intensity 71; 2θ 43.37, intensity 27; 2θ 52.23, intensity 64; 2θ 66.08, intensity 20

=====

For LiNbIrPd, a DFT-relaxed cell (PBE, Alexandria) gives the calculated XRD peak list in this record (λ = 1.5418 Å (Cu Kα)).
Kinematic intensities with the Lorentz-polarization factor, no thermal factor.

Structure:
Lattice parameters (Å, degrees): 4.142 4.142 6.993 90.00 90.00 90.00
Space group I-4m2 (No. 119)
Symmetry-distinct sites (fractional):
Li1 0.000 0.000 0.000 x2
Nb1 0.000 0.000 0.500 x2
Ir1 0.000 0.500 0.750 x2
Pd1 0.000 0.500 0.250 x2

Largest 8 diffraction maxima, by angle, 15 to 90 degrees two-theta:
2θ 24.99, intensity 32; 2θ 25.48, intensity 20; 2θ 30.52, intensity 25; 2θ 40.16, intensity 100; 2θ 43.71, intensity 39; 2θ 63.53, intensity 13; 2θ 70.49, intensity 19; 2θ 77.88, intensity 28

=====

For Li2Ni7Ir2, a DFT-relaxed cell (PBE, Alexandria) gives the calculated XRD peak list in this record (λ = 1.5418 Å (Cu Kα)).
Kinematic intensities with the Lorentz-polarization factor, no thermal factor.

Structure:
Lattice parameters (Å, degrees): 4.381 7.542 8.449 90.00 90.00 90.00
Space group Immm (No. 71)
Symmetry-distinct sites (fractional):
Li1 0.000 0.197 0.000 x4
Ni1 0.000 0.334 0.258 x8
Ni2 0.000 0.500 0.500 x2
Ni3 0.246 0.500 0.000 x4
Ir1 0.000 0.000 0.242 x4

Largest 8 diffraction maxima, by angle, 15 to 90 degrees two-theta:
2θ 21.03, intensity 75; 2θ 23.59, intensity 59; 2θ 31.73, intensity 57; 2θ 41.41, intensity 45; 2θ 42.81, intensity 45; 2θ 46.71, intensity 47; 2θ 46.89, intensity 100; 2θ 61.08, intensity 27

=====

For Li3NiIr, a DFT-relaxed cell (PBE, Alexandria) gives the calculated XRD peak list in this record (λ = 1.5418 Å (Cu Kα)).
Kinematic intensities with the Lorentz-polarization factor, no thermal factor.

Structure:
Lattice parameters (Å, degrees): 8.0356 8.0356 4.5701 90.00 90.00 120.00
Space group R-3m (No. 166, hexagonal axes)
Symmetry-distinct sites (fractional):
Li1 0.0000 0.5000 0.0000 x9
Ni1 0.0000 0.0000 0.5000 x3
Ir1 0.0000 0.0000 0.0000 x3

Largest 8 diffraction maxima, by angle, 15 to 90 degrees two-theta:
2θ 22.12, intensity 100; 2θ 23.29, intensity 19; 2θ 38.82, intensity 24; 2θ 41.60, intensity 19; 2θ 45.13, intensity 18; 2θ 47.61, intensity 15; 2θ 53.09, intensity 19; 2θ 61.02, intensity 12